Co6OF11: computed powder XRD pattern (a wavelength of 1.5418 Å), based on a crystal structure in Alexandria, relaxed with GGA+U.
Intensities are scaled so that the largest is 100.

Peak list (6 most intense, 15° ≤ 2θ ≤ 90°, by intensity)
d 3.358, I 100.0; d 3.381, I 99.5; d 1.773, I 66.7; d 2.644, I 56.6; d 2.627, I 52.7; d 1.768, I 32.3

Atomic structure:
```
Co6OF11
1.0
4.5912 -3.3806 0.0000
4.5912 3.3806 0.0000
-2.7097 0.0000 6.9432
Co O F
6 1 11
direct
0.0000 0.0000 0.0000 Co
0.0017 0.0017 0.4892 Co
0.3379 0.3379 0.8319 Co
0.3398 0.3398 0.3293 Co
0.6699 0.6699 0.6634 Co
0.6922 0.6922 0.1631 Co
0.8929 0.8929 0.1946 O
0.0353 0.6399 0.8264 F
0.1051 0.1051 0.7969 F
0.2371 0.2371 0.5330 F
0.3054 0.6988 0.5015 F
0.3680 0.9750 0.1628 F
0.4543 0.4543 0.1334 F
0.5749 0.5749 0.8720 F
0.6399 0.0353 0.8264 F
0.6988 0.3054 0.5015 F
0.7635 0.7635 0.4564 F
0.9750 0.3680 0.1628 F
```